No. 1
Calculated powder diffractogram
Compound: GdTaN2O
Radiation: λ = 1.5418 Å (Cu Kα)
Structure: a structure optimized by DFT (PBE)
Lines closer than 0.1° are merged.

Peak list (10 most intense, 2θ = 10–90°, in order of rising 2θ)
- 2.847 Å, I 30
- 2.806 Å, I 100
- 2.796 Å, I 33
- 2.768 Å, I 32
- 1.992 Å, I 14
- 1.979 Å, I 28
- 1.625 Å, I 13
- 1.610 Å, I 14
- 1.608 Å, I 14
- 1.602 Å, I 13

```
GdTaN2O
1.0
7.914 0.000 0.000
0.015 7.918 0.000
0.224 0.001 7.968
Gd Ta N O
8 8 16 8
Direct
0.018 0.252 0.035
0.034 0.249 0.516
0.459 0.750 0.983
0.479 0.752 0.473
0.521 0.248 0.527
0.541 0.250 0.017
0.966 0.751 0.484
0.982 0.748 0.965
0.239 0.495 0.755
0.248 0.491 0.259
0.254 0.012 0.754
0.261 0.008 0.243
0.739 0.992 0.757
0.746 0.988 0.246
0.752 0.509 0.741
0.761 0.505 0.245
0.000 0.447 0.296
0.000 0.553 0.704
0.181 0.249 0.785
0.201 0.942 0.003
0.214 0.555 0.000
0.286 0.044 0.502
0.291 0.252 0.192
0.302 0.452 0.500
0.499 0.053 0.795
0.501 0.947 0.205
0.698 0.548 0.500
0.709 0.748 0.808
0.714 0.956 0.498
0.786 0.445 0.000
0.799 0.058 0.997
0.819 0.751 0.215
0.001 0.933 0.708
0.212 0.752 0.322
0.325 0.746 0.718
0.499 0.568 0.208
0.501 0.432 0.792
0.675 0.254 0.282
0.788 0.248 0.678
0.999 0.067 0.292
```


No. 2
Calculated powder diffractogram
Compound: GdTaN2O
Radiation: λ = 1.5418 Å (Cu Kα)
Structure: a structure optimized by DFT (PBE)
Lines closer than 0.1° are merged.

Peak list (10 most intense, 2θ = 10–90°, in order of rising 2θ)
- 2.843 Å, I 23
- 2.807 Å, I 100
- 2.767 Å, I 25
- 1.987 Å, I 22
- 1.979 Å, I 10
- 1.629 Å, I 9
- 1.614 Å, I 11
- 1.606 Å, I 10
- 1.603 Å, I 11
- 1.257 Å, I 11

```
GdTaN2O
1.0
7.918 0.000 0.000
0.000 7.950 0.000
-7.703 0.000 7.946
Gd Ta N O
8 8 16 8
Direct
0.052 0.244 0.026
0.052 0.256 0.526
0.447 0.745 0.474
0.447 0.755 0.974
0.553 0.245 0.026
0.553 0.255 0.526
0.948 0.744 0.474
0.948 0.756 0.974
0.017 0.006 0.262
0.017 0.494 0.762
0.489 0.504 0.235
0.489 0.996 0.735
0.511 0.004 0.265
0.511 0.496 0.765
0.983 0.506 0.238
0.983 0.994 0.738
0.028 0.750 0.218
0.028 0.750 0.718
0.187 0.547 0.000
0.187 0.953 0.500
0.304 0.045 0.304
0.304 0.455 0.804
0.469 0.250 0.190
0.469 0.250 0.690
0.531 0.750 0.310
0.531 0.750 0.810
0.696 0.545 0.196
0.696 0.955 0.696
0.813 0.047 0.500
0.813 0.453 0.000
0.972 0.250 0.282
0.972 0.250 0.782
0.198 0.550 0.499
0.198 0.950 0.999
0.313 0.047 0.815
0.313 0.453 0.315
0.687 0.547 0.685
0.687 0.953 0.185
0.802 0.050 0.001
0.802 0.450 0.501
```


No. 3
Calculated powder diffractogram
Compound: GdYNO
Radiation: λ = 1.5418 Å (Cu Kα)
Structure: a structure optimized by DFT (PBE)
Lines closer than 0.1° are merged.

Peak list (10 most intense, 2θ = 10–90°, in order of rising 2θ)
- 3.995 Å, I 11
- 3.462 Å, I 48
- 2.826 Å, I 100
- 2.447 Å, I 25
- 1.999 Å, I 46
- 1.995 Å, I 13
- 1.631 Å, I 14
- 1.548 Å, I 34
- 1.476 Å, I 15
- 1.265 Å, I 12

```
GdYNO
1.0
4.893 0.000 0.000
0.000 3.991 0.000
0.000 0.000 6.935
Gd Y N O
2 2 2 2
Direct
0.250 0.000 0.165
0.750 0.000 0.835
0.250 0.500 0.667
0.750 0.500 0.333
0.250 0.500 0.338
0.750 0.500 0.662
0.250 0.000 0.823
0.750 0.000 0.177
```


No. 4
Calculated powder diffractogram
Compound: GdYPbN
Radiation: λ = 1.5418 Å (Cu Kα)
Structure: a structure optimized by DFT (PBE)
Lines closer than 0.1° are merged.

Peak list (10 most intense, 2θ = 10–90°, in order of rising 2θ)
- 3.093 Å, I 22
- 2.664 Å, I 100
- 2.622 Å, I 20
- 2.000 Å, I 16
- 1.786 Å, I 22
- 1.522 Å, I 18
- 1.483 Å, I 17
- 1.476 Å, I 21
- 1.158 Å, I 8
- 1.141 Å, I 15

```
GdYPbN
1.0
3.571 0.000 0.000
-1.786 3.093 0.000
0.000 0.000 15.730
Gd Y Pb N
2 2 2 2
Direct
0.333 0.667 0.084
0.667 0.333 0.916
0.333 0.667 0.417
0.667 0.333 0.583
0.333 0.667 0.748
0.667 0.333 0.252
0.000 0.000 0.000
0.000 0.000 0.500
```


No. 5
Calculated powder diffractogram
Compound: PrGd2Ta2N6
Radiation: λ = 1.5418 Å (Cu Kα)
Structure: a structure optimized by DFT (PBE)
Lines closer than 0.1° are merged.

Peak list (10 most intense, 2θ = 10–90°, in order of rising 2θ)
- 4.856 Å, I 12
- 2.854 Å, I 63
- 2.799 Å, I 100
- 2.018 Å, I 30
- 1.903 Å, I 12
- 1.637 Å, I 42
- 1.606 Å, I 12
- 1.427 Å, I 10
- 1.400 Å, I 10
- 1.277 Å, I 11

```
PrGd2Ta2N6
1.0
-2.018 2.018 9.712
2.018 -2.018 9.712
2.018 2.018 -9.712
Pr Gd Ta N
1 2 2 6
Direct
0.000 0.000 0.000
0.179 0.179 0.000
0.821 0.821 0.000
0.396 0.396 0.000
0.604 0.604 0.000
0.088 0.588 0.500
0.296 0.296 0.000
0.412 0.912 0.500
0.588 0.088 0.500
0.704 0.704 0.000
0.912 0.412 0.500
```


No. 6
Calculated powder diffractogram
Compound: SmGd2Ta2N6
Radiation: λ = 1.5418 Å (Cu Kα)
Structure: a structure optimized by DFT (PBE)
Lines closer than 0.1° are merged.

Peak list (10 most intense, 2θ = 10–90°, in order of rising 2θ)
- 4.796 Å, I 10
- 2.842 Å, I 63
- 2.775 Å, I 100
- 2.009 Å, I 30
- 1.883 Å, I 10
- 1.628 Å, I 42
- 1.590 Å, I 12
- 1.421 Å, I 10
- 1.271 Å, I 11
- 1.265 Å, I 9

```
SmGd2Ta2N6
1.0
-2.009 2.009 9.592
2.009 -2.009 9.592
2.009 2.009 -9.592
Sm Gd Ta N
1 2 2 6
Direct
0.000 0.000 0.000
0.179 0.179 0.000
0.821 0.821 0.000
0.398 0.398 0.000
0.602 0.602 0.000
0.085 0.585 0.500
0.297 0.297 0.000
0.415 0.915 0.500
0.585 0.085 0.500
0.703 0.703 0.000
0.915 0.415 0.500
```


No. 7
Calculated powder diffractogram
Compound: NaGdRe2O8
Radiation: λ = 1.5418 Å (Cu Kα)
Structure: a structure optimized by DFT (PBE)
Lines closer than 0.1° are merged.

Peak list (10 most intense, 2θ = 10–90°, in order of rising 2θ)
- 4.718 Å, I 28
- 3.074 Å, I 100
- 2.796 Å, I 15
- 2.602 Å, I 21
- 1.905 Å, I 30
- 1.840 Å, I 14
- 1.663 Å, I 17
- 1.579 Å, I 28
- 1.537 Å, I 12
- 1.234 Å, I 13

```
NaGdRe2O8
1.0
-2.602 2.602 5.591
2.602 -2.602 5.591
2.602 2.602 -5.591
Na Gd Re O
1 1 2 8
Direct
0.000 0.000 0.000
0.750 0.250 0.500
0.250 0.750 0.500
0.500 0.500 0.000
0.081 0.001 0.422
0.168 0.575 0.915
0.341 0.919 0.920
0.425 0.340 0.593
0.579 0.659 0.578
0.660 0.253 0.085
0.747 0.832 0.407
0.999 0.421 0.080
```


No. 8
Calculated powder diffractogram
Compound: Na3GdP2
Radiation: λ = 1.5418 Å (Cu Kα)
Structure: a structure optimized by DFT (PBE)
Lines closer than 0.1° are merged.

Peak list (10 most intense, 2θ = 10–90°, in order of rising 2θ)
- 7.049 Å, I 74
- 6.168 Å, I 100
- 3.097 Å, I 38
- 3.084 Å, I 34
- 3.009 Å, I 22
- 2.576 Å, I 27
- 2.465 Å, I 23
- 2.458 Å, I 23
- 2.432 Å, I 34
- 2.299 Å, I 21

```
Na3GdP2
1.0
-3.430 7.049 3.448
3.430 -7.049 3.448
3.430 7.049 -3.448
Na Gd P
6 2 4
Direct
0.201 0.687 0.889
0.250 0.250 0.000
0.299 0.187 0.486
0.701 0.813 0.514
0.750 0.750 0.000
0.799 0.313 0.111
0.250 0.750 0.500
0.750 0.250 0.500
0.108 0.282 0.390
0.392 0.782 0.175
0.608 0.218 0.825
0.892 0.718 0.610
```


No. 9
Calculated powder diffractogram
Compound: NaGdZnSe3
Radiation: λ = 1.5418 Å (Cu Kα)
Structure: a structure optimized by DFT (PBE)
Lines closer than 0.1° are merged.

Peak list (10 most intense, 2θ = 10–90°, in order of rising 2θ)
- 8.315 Å, I 98
- 4.056 Å, I 64
- 2.902 Å, I 73
- 2.778 Å, I 100
- 2.629 Å, I 80
- 2.602 Å, I 71
- 2.287 Å, I 77
- 2.206 Å, I 62
- 2.091 Å, I 62
- 1.637 Å, I 38

```
NaGdZnSe3
1.0
8.309 0.000 0.000
0.000 4.183 0.000
0.000 0.000 16.630
Na Gd Zn Se
4 4 4 12
Direct
0.067 0.250 0.222
0.433 0.750 0.722
0.567 0.250 0.278
0.933 0.750 0.778
0.239 0.250 0.952
0.261 0.750 0.452
0.739 0.250 0.548
0.761 0.750 0.048
0.128 0.250 0.645
0.372 0.750 0.145
0.628 0.250 0.855
0.872 0.750 0.355
0.000 0.250 0.415
0.000 0.750 0.585
0.126 0.750 0.057
0.197 0.250 0.784
0.303 0.750 0.284
0.374 0.250 0.557
0.500 0.250 0.085
0.500 0.750 0.915
0.626 0.750 0.443
0.697 0.250 0.716
0.803 0.750 0.216
0.874 0.250 0.943
```


No. 10
Calculated powder diffractogram
Compound: GdNbNi
Radiation: λ = 1.5418 Å (Cu Kα)
Structure: a structure optimized by DFT (PBE)
Lines closer than 0.1° are merged.

Peak list (10 most intense, 2θ = 10–90°, in order of rising 2θ)
- 3.656 Å, I 19
- 3.166 Å, I 45
- 2.239 Å, I 100
- 1.909 Å, I 10
- 1.828 Å, I 13
- 1.583 Å, I 17
- 1.453 Å, I 4
- 1.416 Å, I 16
- 1.292 Å, I 33
- 1.119 Å, I 11

```
GdNbNi
1.0
6.332 0.000 0.000
0.000 6.332 0.000
0.000 0.000 6.332
Gd Nb Ni
4 4 4
Direct
0.000 0.000 0.000
0.000 0.500 0.500
0.500 0.000 0.500
0.500 0.500 0.000
0.000 0.000 0.500
0.000 0.500 0.000
0.500 0.000 0.000
0.500 0.500 0.500
0.250 0.250 0.250
0.250 0.750 0.750
0.750 0.250 0.750
0.750 0.750 0.250
```


No. 11
Calculated powder diffractogram
Compound: Gd3NbO7
Radiation: λ = 1.5418 Å (Cu Kα)
Structure: a structure optimized by DFT (PBE)
Lines closer than 0.1° are merged.

Peak list (10 most intense, 2θ = 10–90°, in order of rising 2θ)
- 3.066 Å, I 100
- 2.661 Å, I 23
- 2.644 Å, I 10
- 1.884 Å, I 6
- 1.876 Å, I 36
- 1.605 Å, I 11
- 1.602 Å, I 14
- 1.596 Å, I 11
- 1.218 Å, I 6
- 1.188 Å, I 5

```
Gd3NbO7
1.0
3.769 -5.288 0.000
3.769 5.288 0.000
0.000 0.000 7.513
Gd Nb O
6 2 14
Direct
0.031 0.031 0.000
0.037 0.499 0.260
0.499 0.037 0.740
0.501 0.963 0.240
0.963 0.501 0.760
0.969 0.969 0.500
0.498 0.498 0.500
0.502 0.502 0.000
0.129 0.871 0.750
0.137 0.863 0.250
0.170 0.416 0.977
0.191 0.446 0.545
0.416 0.170 0.023
0.430 0.570 0.250
0.446 0.191 0.455
0.554 0.809 0.955
0.570 0.430 0.750
0.584 0.830 0.523
0.809 0.554 0.045
0.830 0.584 0.477
0.863 0.137 0.750
0.871 0.129 0.250
```